Diffraction record for MgMn4O8. The powder diffractogram is computed, not measured: it uses a structure optimized by DFT (PBE+U) and Cu Kα, 1.54184 Å.
No peak broadening, texture or thermal motion is included.

Structure:
a b c (Å): 6.052 6.052 6.052
angles (deg): 122.42 122.03 86.18
Atoms (fractional coordinates):
Mg (0.000, 0.000, 0.000)
Mn (0.140, 0.386, 0.754)
Mn (0.632, 0.386, 0.246)
Mn (0.634, 0.390, 0.756)
Mn (0.634, 0.879, 0.244)
O (0.411, 0.135, 0.276)
O (0.417, 0.195, 0.778)
O (0.417, 0.640, 0.222)
O (0.423, 0.638, 0.786)
O (0.852, 0.638, 0.214)
O (0.860, 0.135, 0.724)
O (0.863, 0.137, 0.274)
O (0.863, 0.588, 0.726)

Largest 12 diffraction maxima, low angle first, 2θ from 10° to 80°:
18.2°, intensity 100
34.1°, intensity 25
35.7°, intensity 19
35.9°, intensity 22
36.9°, intensity 7
40.8°, intensity 22
43.8°, intensity 36
54.2°, intensity 10
57.7°, intensity 9
57.9°, intensity 8
61.4°, intensity 28
63.4°, intensity 8